The following is a simulated X-ray powder pattern of PmNb2N4. It was derived from the PBE geometry in Alexandria, using a wavelength of 1.5418 Å.
Neutral-atom scattering factors, no anomalous dispersion.

Largest 10 diffraction maxima, in order of rising 2θ, 2θ = 10–90°:
(hkl), d/Å, I (rel.)
1 1 1, 2.923, 42
0 2 3, 2.900, 100
1 1 2, 2.633, 47
0 4 0, 2.590, 33
1 3 1, 2.285, 41
1 3 2, 2.138, 35
1 1 5, 1.728, 24
1 5 2, 1.649, 17
1 3 5, 1.563, 17
2 2 3, 1.395, 21

Structure:
```
data_PmNb2N4
_chemical_formula_sum 'Pm4 Nb8 N16'
_space_group_name_H-M_alt 'C m c m'
_space_group_IT_number 63
_space_group_name_Hall '-C 2c 2'
_cell_length_a 3.1836
_cell_length_b 10.3597
_cell_length_c 10.5007
_cell_angle_alpha 90.00
_cell_angle_beta 90.00
_cell_angle_gamma 90.00
loop_
_atom_site_label
_atom_site_type_symbol
_atom_site_fract_x
_atom_site_fract_y
_atom_site_fract_z
Pm1 Pm 0.0000 0.1156 0.2500
Nb1 Nb 0.0000 0.3706 0.0658
N1 N 0.0000 0.0000 0.0000
N2 N 0.0000 0.2669 0.6113
N3 N 0.0000 0.4354 0.2500
```



The following is a simulated X-ray powder pattern of BeZnCdCuIr. It was derived from the PBE geometry in Alexandria, using a wavelength of 1.5418 Å.
Neutral-atom scattering factors, no anomalous dispersion.

Largest 10 diffraction maxima, in order of rising 2θ, 2θ = 10–90°:
(hkl), d/Å, I (rel.)
2 0 -1, 4.527, 35
2 0 0, 3.443, 21
1 1 0, 2.761, 22
1 1 -1, 2.749, 26
2 0 1, 2.262, 34
2 0 -3, 2.206, 100
1 1 -2, 2.186, 15
4 0 -1, 2.093, 25
3 1 -2, 2.080, 61
0 2 0, 1.507, 13

Structure:
```
data_BeZnCdCuIr
_chemical_formula_sum 'Be2 Zn2 Cd2 Cu2 Ir2'
_space_group_name_H-M_alt 'C 1 m 1'
_space_group_IT_number 8
_space_group_name_Hall 'C -2y'
_cell_length_a 9.0568
_cell_length_b 3.0136
_cell_length_c 6.7596
_cell_angle_alpha 90.00
_cell_angle_beta 130.51
_cell_angle_gamma 90.00
loop_
_atom_site_label
_atom_site_type_symbol
_atom_site_fract_x
_atom_site_fract_y
_atom_site_fract_z
Be1 Be 0.0000 0.0000 0.0000
Zn1 Zn 0.2107 0.0000 0.7298
Cd1 Cd 0.3639 0.0000 0.4986
Cu1 Cu 0.0369 0.5000 0.2901
Ir1 Ir 0.2102 0.5000 0.0386
```



The following is a simulated X-ray powder pattern of AcLa5Hg4. It was derived from the PBE geometry in Alexandria, using a wavelength of 1.5418 Å.
Neutral-atom scattering factors, no anomalous dispersion.

Largest 10 diffraction maxima, in order of rising 2θ, 2θ = 10–90°:
(hkl), d/Å, I (rel.)
1 0 4, 3.129, 7
1 0 5, 2.853, 100
1 1 0, 2.766, 58
1 0 6, 2.598, 14
2 0 0, 1.956, 21
1 1 10, 1.665, 10
2 1 5, 1.613, 37
1 1 11, 1.563, 15
3 0 5, 1.244, 8
3 1 0, 1.237, 15

Structure:
```
data_AcLa5Hg4
_chemical_formula_sum 'Ac1 La5 Hg4'
_space_group_name_H-M_alt 'P 4/m m m'
_space_group_IT_number 123
_space_group_name_Hall '-P 4 2'
_cell_length_a 3.9116
_cell_length_b 3.9116
_cell_length_c 20.8505
_cell_angle_alpha 90.00
_cell_angle_beta 90.00
_cell_angle_gamma 90.00
loop_
_atom_site_label
_atom_site_type_symbol
_atom_site_fract_x
_atom_site_fract_y
_atom_site_fract_z
Ac1 Ac 0.0000 0.0000 0.0000
La1 La 0.5000 0.5000 0.1263
La2 La 0.5000 0.5000 0.3138
La3 La 0.5000 0.5000 0.5000
Hg1 Hg 0.0000 0.0000 0.2177
Hg2 Hg 0.0000 0.0000 0.4068
```



The following is a simulated X-ray powder pattern of Li2LaGa4. It was derived from the PBE geometry in Alexandria, using a wavelength of 1.5418 Å.
Neutral-atom scattering factors, no anomalous dispersion.

Largest 10 diffraction maxima, in order of rising 2θ, 2θ = 10–90°:
(hkl), d/Å, I (rel.)
0 0 3, 8.132, 30
1 0 4, 3.210, 100
0 1 5, 2.986, 30
1 0 7, 2.561, 78
1 1 0, 2.180, 90
0 2 4, 1.803, 19
1 1 9, 1.699, 20
0 2 7, 1.660, 21
1 1 12, 1.487, 20
2 1 7, 1.321, 19

Structure:
```
data_Li2LaGa4
_chemical_formula_sum 'Li6 La3 Ga12'
_space_group_name_H-M_alt 'R -3 m'
_space_group_IT_number 166
_space_group_name_Hall '-R 3 2"'
_cell_length_a 4.3594
_cell_length_b 4.3594
_cell_length_c 24.3952
_cell_angle_alpha 90.00
_cell_angle_beta 90.00
_cell_angle_gamma 120.00
loop_
_atom_site_label
_atom_site_type_symbol
_atom_site_fract_x
_atom_site_fract_y
_atom_site_fract_z
Li1 Li 0.0000 0.0000 0.1435
La1 La 0.0000 0.0000 0.0000
Ga1 Ga 0.0000 0.0000 0.2563
Ga2 Ga 0.0000 0.0000 0.4369
```



The following is a simulated X-ray powder pattern of Er5NpSb6. It was derived from the PBE geometry in Alexandria, using a wavelength of 1.5418 Å.
Neutral-atom scattering factors, no anomalous dispersion.

Largest 10 diffraction maxima, in order of rising 2θ, 2θ = 10–90°:
(hkl), d/Å, I (rel.)
2 0 0, 3.562, 6
1 3 1, 3.085, 100
2 0 2, 2.181, 76
3 3 1, 1.860, 4
4 0 0, 1.781, 27
2 6 2, 1.542, 13
4 0 2, 1.415, 2
4 6 0, 1.380, 35
5 3 1, 1.259, 26
4 0 4, 1.091, 9

Structure:
```
data_Er5NpSb6
_chemical_formula_sum 'Er10 Np2 Sb12'
_space_group_name_H-M_alt 'C 1 2/m 1'
_space_group_IT_number 12
_space_group_name_Hall '-C 2y'
_cell_length_a 7.5548
_cell_length_b 13.0861
_cell_length_c 7.5574
_cell_angle_alpha 90.00
_cell_angle_beta 109.46
_cell_angle_gamma 90.00
loop_
_atom_site_label
_atom_site_type_symbol
_atom_site_fract_x
_atom_site_fract_y
_atom_site_fract_z
Er1 Er 0.0000 0.0000 0.0000
Er2 Er 0.0000 0.1668 0.5000
Er3 Er 0.0000 0.3340 0.0000
Np1 Np 0.0000 0.5000 0.5000
Sb1 Sb 0.2486 0.0000 0.7501
Sb2 Sb 0.2488 0.1673 0.2485
```



The following is a simulated X-ray powder pattern of Nd5Tm2Ge4. It was derived from the PBE geometry in Alexandria, using a wavelength of 1.5418 Å.
Neutral-atom scattering factors, no anomalous dispersion.

Largest 10 diffraction maxima, in order of rising 2θ, 2θ = 10–90°:
(hkl), d/Å, I (rel.)
1 1 1, 3.412, 86
6 0 -1, 3.382, 39
3 1 -1, 3.175, 49
6 0 1, 3.156, 100
1 1 2, 2.759, 56
0 0 3, 2.746, 63
3 1 -2, 2.670, 65
3 1 2, 2.554, 52
7 1 -1, 2.339, 38
0 2 0, 1.918, 45

Structure:
```
data_Nd5Tm2Ge4
_chemical_formula_sum 'Nd10 Tm4 Ge8'
_space_group_name_H-M_alt 'C 1 2/m 1'
_space_group_IT_number 12
_space_group_name_Hall '-C 2y'
_cell_length_a 21.4312
_cell_length_b 3.8359
_cell_length_c 8.2696
_cell_angle_alpha 90.00
_cell_angle_beta 95.50
_cell_angle_gamma 90.00
loop_
_atom_site_label
_atom_site_type_symbol
_atom_site_fract_x
_atom_site_fract_y
_atom_site_fract_z
Nd1 Nd 0.0000 0.0000 0.0000
Nd2 Nd 0.1009 0.5000 0.4259
Nd3 Nd 0.1627 0.5000 0.9726
Tm1 Tm 0.2325 0.0000 0.6604
Ge1 Ge 0.0284 0.5000 0.7322
Ge2 Ge 0.1046 0.0000 0.7155
```